# 1
The following is a simulated PXRD pattern of Ba2SrP2O8. It was derived from a cell relaxed with PBE, using Cu Ka.

Principal peaks in the range 2θ = 10–90°, sorted by position:
2theta  intensity
28.0  100
31.9  84
38.0  16
40.9  15
43.0  37
47.0  23
50.8  16
54.5  26
56.8  15
67.6  17

Atomic structure:
```
Ba2SrP2O8
1.0
2.8065 1.6204 7.0275
-2.8065 1.6204 7.0275
0.0000 -3.2407 7.0275
Ba Sr P O
2 1 2 8
Direct
0.2086 0.2086 0.2086
0.7914 0.7914 0.7914
0.0000 0.0000 0.0000
0.4039 0.4039 0.4039
0.5961 0.5961 0.5961
0.2675 0.7230 0.7230
0.2770 0.2770 0.7325
0.2770 0.7325 0.2770
0.3307 0.3307 0.3307
0.6693 0.6693 0.6693
0.7230 0.2675 0.7230
0.7230 0.7230 0.2675
0.7325 0.2770 0.2770
```


# 2
The following is a simulated PXRD pattern of CeAlCu. It was derived from a cell relaxed with PBE, using Cu Ka.

Principal peaks in the range 2θ = 10–90°, sorted by position:
2theta  intensity
21.5  22
25.2  27
29.2  31
33.4  86
36.5  100
38.9  29
43.9  24
54.0  21
58.8  31
72.0  17

Atomic structure:
```
CeAlCu
1.0
7.0710 0.0000 0.0000
-3.5355 6.1237 0.0000
0.0000 0.0000 4.1252
Ce Al Cu
3 3 3
Direct
0.0000 0.5803 0.0000
0.4197 0.4197 0.0000
0.5803 0.0000 0.0000
0.0000 0.2299 0.5000
0.2299 0.0000 0.5000
0.7701 0.7701 0.5000
0.0000 0.0000 0.0000
0.3333 0.6667 0.5000
0.6667 0.3333 0.5000
```


> Number 1 is which compound?

Ba2SrP2O8